Computed X-ray diffraction stick pattern of Mg6Zn2In for Cu Kα (λ = 1.5418 Å), from a crystal structure in Alexandria, relaxed with GGA-PBE.
Lines closer than 0.1° are merged.

Most intense lines, 2θ from 15° to 90°, low angle first:
Position (°2θ)  Rel. int.
18.2  58
19.4  100
20.5  33
34.0  79
35.5  46
37.6  94
38.1  51
39.4  49
39.7  35
50.1  36

Structure:
Cell lengths 7.952, 7.952, 7.952 Å; angles 114.15, 109.87, 104.53 degrees
Atoms (fractional coordinates):
Mg1 0.037 0.825 0.212
Mg2 0.252 0.547 0.295
Mg3 0.252 0.958 0.705
Mg4 0.282 0.310 0.592
Mg5 0.282 0.690 0.972
Mg6 0.388 0.175 0.212
Mg7 0.612 0.825 0.788
Mg8 0.718 0.310 0.028
Mg9 0.718 0.690 0.408
Mg10 0.748 0.042 0.295
Mg11 0.748 0.453 0.705
Mg12 0.963 0.175 0.788
Zn1 0.000 0.152 0.152
Zn2 0.000 0.848 0.848
Zn3 0.371 0.371 0.000
Zn4 0.629 0.629 0.000
In1 0.000 0.500 0.500
In2 0.500 0.000 0.500

---

Computed X-ray diffraction stick pattern of Pm2Sm7Er2 for Cu Kα (λ = 1.5418 Å), from a crystal structure in Alexandria, relaxed with GGA-PBE.
Lines closer than 0.1° are merged.

Most intense lines, 2θ from 15° to 90°, low angle first:
Position (°2θ)  Rel. int.
28.2  14
30.5  17
31.7  100
32.0  32
33.7  18
33.8  11
47.1  13
52.4  11
56.8  16
62.5  11

Structure:
Cell lengths 6.361, 6.361, 10.001 Å; angles 91.30, 91.30, 113.63 degrees
Atoms (fractional coordinates):
Pm1 0.202 0.202 0.287
Pm2 0.798 0.798 0.713
Sm1 0.078 0.668 0.149
Sm2 0.317 0.317 0.634
Sm3 0.332 0.922 0.851
Sm4 0.500 0.500 0.000
Sm5 0.668 0.078 0.149
Sm6 0.683 0.683 0.366
Sm7 0.922 0.332 0.851
Er1 0.227 0.773 0.500
Er2 0.773 0.227 0.500

---

Computed X-ray diffraction stick pattern of PrCu9Hg2 for Cu Kα (λ = 1.5418 Å), from a crystal structure in Alexandria, relaxed with GGA-PBE.
Lines closer than 0.1° are merged.

Most intense lines, 2θ from 15° to 90°, low angle first:
Position (°2θ)  Rel. int.
29.3  37
33.5  28
35.1  24
37.9  100
41.2  22
42.3  56
42.7  92
44.1  25
64.9  30
67.2  22

Structure:
Cell lengths 8.468, 8.468, 5.114 Å; angles 90.00, 90.00, 90.00 degrees
Atoms (fractional coordinates):
Pr1 0.000 0.000 0.000
Pr2 0.500 0.500 0.000
Cu1 0.000 0.500 0.500
Cu2 0.063 0.206 0.500
Cu3 0.177 0.677 0.250
Cu4 0.177 0.677 0.750
Cu5 0.206 0.937 0.500
Cu6 0.294 0.437 0.500
Cu7 0.323 0.177 0.250
Cu8 0.323 0.177 0.750
Cu9 0.437 0.706 0.500
Cu10 0.500 0.000 0.500
Cu11 0.563 0.294 0.500
Cu12 0.677 0.823 0.250
Cu13 0.677 0.823 0.750
Cu14 0.706 0.563 0.500
Cu15 0.794 0.063 0.500
Cu16 0.823 0.323 0.250
Cu17 0.823 0.323 0.750
Cu18 0.937 0.794 0.500
Hg1 0.124 0.376 0.000
Hg2 0.376 0.876 0.000
Hg3 0.624 0.124 0.000
Hg4 0.876 0.624 0.000

---

Computed X-ray diffraction stick pattern of AcSm5Tl4 for Cu Kα (λ = 1.5418 Å), from a crystal structure in Alexandria, relaxed with GGA-PBE.
Lines closer than 0.1° are merged.

Most intense lines, 2θ from 15° to 90°, low angle first:
Position (°2θ)  Rel. int.
31.3  100
34.1  9
34.4  46
40.0  10
49.4  17
53.7  14
59.7  33
65.4  8
81.0  7
82.7  8

Structure:
Cell lengths 3.690, 3.690, 22.532 Å; angles 90.00, 90.00, 90.00 degrees
Atoms (fractional coordinates):
Ac1 0.000 0.000 0.000
Sm1 0.500 0.500 0.122
Sm2 0.500 0.500 0.311
Sm3 0.500 0.500 0.500
Sm4 0.500 0.500 0.689
Sm5 0.500 0.500 0.878
Tl1 0.000 0.000 0.215
Tl2 0.000 0.000 0.405
Tl3 0.000 0.000 0.595
Tl4 0.000 0.000 0.785

---

Computed X-ray diffraction stick pattern of NaB4C4 for Cu Kα (λ = 1.5418 Å), from a crystal structure in Alexandria, relaxed with GGA-PBE.
Lines closer than 0.1° are merged.

Most intense lines, 2θ from 15° to 90°, low angle first:
Position (°2θ)  Rel. int.
23.7  32
26.6  100
33.0  16
33.8  36
37.2  11
37.9  28
43.5  10
47.9  10
50.1  22
73.6  8

Structure:
Cell lengths 7.636, 7.636, 7.636 Å; angles 91.94, 91.94, 158.81 degrees
Atoms (fractional coordinates):
Na1 0.000 0.000 0.000
B1 0.253 0.559 0.813
B2 0.441 0.253 0.694
B3 0.559 0.747 0.306
B4 0.747 0.441 0.187
C1 0.058 0.243 0.301
C2 0.243 0.942 0.184
C3 0.757 0.058 0.816
C4 0.942 0.757 0.699

---

Computed X-ray diffraction stick pattern of ReSbPd for Cu Kα (λ = 1.5418 Å), from a crystal structure in Alexandria, relaxed with GGA-PBE.
Lines closer than 0.1° are merged.

Most intense lines, 2θ from 15° to 90°, low angle first:
Position (°2θ)  Rel. int.
33.4  35
34.1  10
39.3  100
41.1  22
43.5  23
48.4  11
53.9  15
59.7  10
73.8  19
75.0  15

Structure:
Cell lengths 13.176, 3.098, 3.098 Å; angles 60.11, 90.00, 90.00 degrees
Atoms (fractional coordinates):
Re1 0.158 0.000 0.000
Re2 0.842 0.000 0.000
Sb1 0.313 0.340 0.340
Sb2 0.687 0.340 0.340
Pd1 0.000 0.335 0.335
Pd2 0.500 0.179 0.179

---

Computed X-ray diffraction stick pattern of Mg2Al4Zn3 for Cu Kα (λ = 1.5418 Å), from a crystal structure in Alexandria, relaxed with GGA-PBE.
Lines closer than 0.1° are merged.

Most intense lines, 2θ from 15° to 90°, low angle first:
Position (°2θ)  Rel. int.
21.3  28
37.3  100
37.8  41
41.8  83
43.3  25
43.8  45
45.6  69
61.8  27
75.4  27
87.3  28

Structure:
Cell lengths 5.043, 5.043, 14.473 Å; angles 90.00, 90.00, 120.00 degrees
Atoms (fractional coordinates):
Mg1 0.333 0.667 0.140
Mg2 0.333 0.667 0.360
Mg3 0.667 0.333 0.640
Mg4 0.667 0.333 0.860
Al1 0.000 0.000 0.090
Al2 0.000 0.000 0.410
Al3 0.000 0.000 0.590
Al4 0.000 0.000 0.910
Al5 0.333 0.667 0.566
Al6 0.333 0.667 0.934
Al7 0.667 0.333 0.066
Al8 0.667 0.333 0.434
Zn1 0.169 0.337 0.750
Zn2 0.169 0.831 0.750
Zn3 0.337 0.169 0.250
Zn4 0.663 0.831 0.750
Zn5 0.831 0.169 0.250
Zn6 0.831 0.663 0.250

---

Computed X-ray diffraction stick pattern of Sm5Dy3Tl for Cu Kα (λ = 1.5418 Å), from a crystal structure in Alexandria, relaxed with GGA-PBE.
Lines closer than 0.1° are merged.

Most intense lines, 2θ from 15° to 90°, low angle first:
Position (°2θ)  Rel. int.
22.2  55
26.6  30
27.4  100
29.1  65
31.2  51
31.6  53
32.0  81
33.6  32
34.5  28
36.2  38

Structure:
Cell lengths 7.947, 7.947, 11.376 Å; angles 95.24, 95.24, 60.55 degrees
Atoms (fractional coordinates):
Sm1 0.007 0.007 0.369
Sm2 0.162 0.586 0.244
Sm3 0.168 0.832 0.000
Sm4 0.262 0.262 0.963
Sm5 0.414 0.838 0.756
Sm6 0.586 0.162 0.244
Sm7 0.738 0.738 0.037
Sm8 0.832 0.168 0.000
Sm9 0.838 0.414 0.756
Sm10 0.993 0.993 0.631
Dy1 0.168 0.168 0.216
Dy2 0.240 0.240 0.526
Dy3 0.500 0.500 0.000
Dy4 0.500 0.500 0.500
Dy5 0.760 0.760 0.474
Dy6 0.832 0.832 0.784
Tl1 0.403 0.403 0.741
Tl2 0.597 0.597 0.259

---

Computed X-ray diffraction stick pattern of MnIn2CuTe4 for Cu Kα (λ = 1.5418 Å), from a crystal structure in Alexandria, relaxed with GGA-PBE.
Lines closer than 0.1° are merged.

Most intense lines, 2θ from 15° to 90°, low angle first:
Position (°2θ)  Rel. int.
24.0  100
31.1  7
39.5  27
39.8  47
46.7  32
47.3  12
57.1  9
63.2  10
71.8  15
76.7  7

Structure:
Cell lengths 7.827, 7.827, 7.827 Å; angles 131.28, 131.28, 71.37 degrees
Atoms (fractional coordinates):
Mn1 0.000 0.000 0.000
In1 0.250 0.750 0.500
In2 0.750 0.250 0.500
Cu1 0.500 0.500 0.000
Te1 0.148 0.148 0.510
Te2 0.362 0.852 0.000
Te3 0.638 0.638 0.490
Te4 0.852 0.362 0.000

---

Computed X-ray diffraction stick pattern of La2Al2Cu15 for Cu Kα (λ = 1.5418 Å), from a crystal structure in Alexandria, relaxed with GGA-PBE.
Lines closer than 0.1° are merged.

Most intense lines, 2θ from 15° to 90°, low angle first:
Position (°2θ)  Rel. int.
29.3  27
32.2  15
35.7  26
36.8  29
41.5  52
41.7  100
42.3  36
46.8  34
60.7  17
75.6  21

Structure:
Cell lengths 6.600, 6.600, 6.600 Å; angles 82.58, 82.58, 82.58 degrees
Atoms (fractional coordinates):
La1 0.148 0.148 0.148
La2 0.852 0.852 0.852
Al1 0.397 0.397 0.397
Al2 0.603 0.603 0.603
Cu1 0.000 0.500 0.500
Cu2 0.156 0.156 0.647
Cu3 0.156 0.647 0.156
Cu4 0.209 0.500 0.791
Cu5 0.209 0.791 0.500
Cu6 0.353 0.844 0.844
Cu7 0.500 0.000 0.500
Cu8 0.500 0.209 0.791
Cu9 0.500 0.500 0.000
Cu10 0.500 0.791 0.209
Cu11 0.647 0.156 0.156
Cu12 0.791 0.209 0.500
Cu13 0.791 0.500 0.209
Cu14 0.844 0.353 0.844
Cu15 0.844 0.844 0.353

---

Computed X-ray diffraction stick pattern of RbSrI2 for Cu Kα (λ = 1.5418 Å), from a crystal structure in Alexandria, relaxed with GGA-PBE.
Lines closer than 0.1° are merged.

Most intense lines, 2θ from 15° to 90°, low angle first:
Position (°2θ)  Rel. int.
23.4  17
23.8  33
25.1  100
30.0  27
34.0  20
37.5  44
40.6  26
44.7  18
45.7  19
62.4  20

Structure:
Cell lengths 11.729, 11.729, 11.729 Å; angles 23.57, 23.57, 23.57 degrees
Atoms (fractional coordinates):
Rb1 0.000 0.000 0.000
Sr1 0.170 0.170 0.170
I1 0.557 0.557 0.557
I2 0.782 0.782 0.782

---

Computed X-ray diffraction stick pattern of K3Hg5 for Cu Kα (λ = 1.5418 Å), from a crystal structure in Alexandria, relaxed with GGA-PBE.
Lines closer than 0.1° are merged.

Most intense lines, 2θ from 15° to 90°, low angle first:
Position (°2θ)  Rel. int.
15.1  26
20.0  100
27.4  22
28.9  48
29.7  28
31.9  54
33.0  46
40.7  24
41.6  20
42.1  19

Structure:
Cell lengths 13.064, 9.466, 10.138 Å; angles 83.51, 46.05, 50.44 degrees
Atoms (fractional coordinates):
K1 0.000 0.000 0.000
K2 0.250 0.250 0.250
K3 0.414 0.558 0.265
K4 0.486 0.985 0.692
K5 0.558 0.414 0.764
K6 0.985 0.486 0.836
Hg1 0.038 0.600 0.099
Hg2 0.151 0.988 0.212
Hg3 0.407 0.407 0.593
Hg4 0.439 0.845 0.425
Hg5 0.600 0.038 0.262
Hg6 0.657 0.657 0.843
Hg7 0.825 0.959 0.811
Hg8 0.845 0.439 0.291
Hg9 0.959 0.825 0.405
Hg10 0.988 0.151 0.650

---

Computed X-ray diffraction stick pattern of Li2LaUS4 for Cu Kα (λ = 1.5418 Å), from a crystal structure in Alexandria, relaxed with GGA-PBE.
Lines closer than 0.1° are merged.

Most intense lines, 2θ from 15° to 90°, low angle first:
Position (°2θ)  Rel. int.
25.9  42
26.0  84
27.3  33
31.9  51
32.1  100
35.2  60
42.8  21
44.9  38
46.9  51
47.4  34

Structure:
Cell lengths 6.639, 4.013, 7.007 Å; angles 90.00, 110.71, 90.00 degrees
Atoms (fractional coordinates):
Li1 0.000 0.000 0.000
Li2 0.000 0.500 0.500
La1 0.500 0.000 0.500
U1 0.500 0.500 0.000
S1 0.241 0.500 0.233
S2 0.245 0.000 0.759
S3 0.755 0.000 0.241
S4 0.759 0.500 0.767